# 1
Diffraction record for Pa2Pb3S8. The X-ray powder pattern is theoretical, not measured: it uses a structure optimized by DFT (PBE) and CuKα.
Kinematic intensities with the Lorentz-polarization factor, no thermal factor.

```
data_Pa2Pb3S8
_chemical_formula_sum 'Pa4 Pb6 S16'
_cell_length_a 14.348
_cell_length_b 8.302
_cell_length_c 6.942
_cell_angle_alpha 90.00
_cell_angle_beta 108.86
_cell_angle_gamma 90.00
_symmetry_space_group_name_H-M 'C 1 2/m 1'
_symmetry_Int_Tables_number 12
_symmetry_space_group_name_Hall '-C 2y'
loop_
_atom_site_label
_atom_site_type_symbol
_atom_site_fract_x
_atom_site_fract_y
_atom_site_fract_z
_atom_site_occupancy
Pa1 Pa 0.244 0.000 0.468 1
Pb1 Pb 0.000 0.245 0.500 1
Pb2 Pb 0.000 0.500 0.000 1
S1 S 0.136 0.500 0.742 1
S2 S 0.139 0.000 0.699 1
S3 S 0.145 0.270 0.282 1
```

Largest 6 diffraction maxima, low angle first, 15° ≤ 2θ ≤ 90°:
| 2θ (°) | I/Imax |
| --- | --- |
| 25.1 | 39.8 |
| 26.5 | 53.6 |
| 30.6 | 100.0 |
| 31.2 | 46.7 |
| 43.7 | 56.1 |
| 44.8 | 30.8 |


# 2
Diffraction record for Pm3Dy4Er5. The X-ray powder pattern is theoretical, not measured: it uses a structure optimized by DFT (PBE) and CuKα.
Kinematic intensities with the Lorentz-polarization factor, no thermal factor.

```
data_Pm3Dy4Er5
_chemical_formula_sum 'Pm3 Dy4 Er5'
_cell_length_a 6.151
_cell_length_b 7.105
_cell_length_c 8.698
_cell_angle_alpha 89.96
_cell_angle_beta 89.83
_cell_angle_gamma 89.86
_symmetry_space_group_name_H-M 'P -1'
_symmetry_Int_Tables_number 2
_symmetry_space_group_name_Hall '-P 1'
loop_
_atom_site_label
_atom_site_type_symbol
_atom_site_fract_x
_atom_site_fract_y
_atom_site_fract_z
_atom_site_occupancy
Pm1 Pm 0.000 0.000 0.000 1
Pm2 Pm 0.166 0.250 0.333 1
Dy1 Dy 0.168 0.749 0.333 1
Dy2 Dy 0.333 0.500 0.668 1
Er1 Er 0.000 0.500 0.000 1
Er2 Er 0.335 0.000 0.668 1
Er3 Er 0.499 0.749 0.000 1
```

Largest 6 diffraction maxima, low angle first, 15° ≤ 2θ ≤ 90°:
| 2θ (°) | I/Imax |
| --- | --- |
| 30.8 | 100.0 |
| 35.7 | 33.8 |
| 35.8 | 16.8 |
| 51.4 | 24.1 |
| 51.5 | 12.0 |
| 61.2 | 28.5 |


# 3
Diffraction record for K2Na2Nd4Nb2O13. The X-ray powder pattern is theoretical, not measured: it uses a structure optimized by DFT (PBE) and CuKα.
Kinematic intensities with the Lorentz-polarization factor, no thermal factor.

```
data_K2Na2Nd4Nb2O13
_chemical_formula_sum 'K8 Na8 Nd16 Nb8 O52'
_cell_length_a 24.710
_cell_length_b 5.768
_cell_length_c 11.445
_cell_angle_alpha 90.00
_cell_angle_beta 116.44
_cell_angle_gamma 90.00
_symmetry_space_group_name_H-M 'C 1 2/c 1'
_symmetry_Int_Tables_number 15
_symmetry_space_group_name_Hall '-C 2yc'
loop_
_atom_site_label
_atom_site_type_symbol
_atom_site_fract_x
_atom_site_fract_y
_atom_site_fract_z
_atom_site_occupancy
K1 K 0.249 0.050 0.132 1
Na1 Na 0.160 0.464 0.525 1
Nd1 Nd 0.064 0.046 0.950 1
Nd2 Nd 0.064 0.463 0.674 1
Nb1 Nb 0.152 0.032 0.283 1
O1 O 0.000 0.258 0.750 1
O2 O 0.001 0.252 0.477 1
O3 O 0.104 0.230 0.343 1
O4 O 0.131 0.194 0.639 1
O5 O 0.132 0.269 0.140 1
O6 O 0.136 0.226 0.877 1
O7 O 0.236 0.062 0.375 1
```

Largest 6 diffraction maxima, low angle first, 15° ≤ 2θ ≤ 90°:
| 2θ (°) | I/Imax |
| --- | --- |
| 24.9 | 41.8 |
| 25.2 | 38.3 |
| 29.6 | 100.0 |
| 30.1 | 93.2 |
| 31.3 | 35.7 |
| 44.6 | 44.4 |


# 4
Diffraction record for PuGa5. The X-ray powder pattern is theoretical, not measured: it uses a structure optimized by DFT (PBE) and CuKα.
Kinematic intensities with the Lorentz-polarization factor, no thermal factor.

```
data_PuGa5
_chemical_formula_sum 'Pu2 Ga10'
_cell_length_a 4.518
_cell_length_b 6.169
_cell_length_c 8.241
_cell_angle_alpha 90.00
_cell_angle_beta 90.00
_cell_angle_gamma 90.00
_symmetry_space_group_name_H-M 'I m m m'
_symmetry_Int_Tables_number 71
_symmetry_space_group_name_Hall '-I 2 2'
loop_
_atom_site_label
_atom_site_type_symbol
_atom_site_fract_x
_atom_site_fract_y
_atom_site_fract_z
_atom_site_occupancy
Pu1 Pu 0.000 0.000 0.000 1
Ga1 Ga 0.000 0.235 0.334 1
Ga2 Ga 0.000 0.500 0.000 1
```

Largest 6 diffraction maxima, low angle first, 15° ≤ 2θ ≤ 90°:
| 2θ (°) | I/Imax |
| --- | --- |
| 18.0 | 29.5 |
| 36.4 | 51.7 |
| 36.9 | 100.0 |
| 38.4 | 79.8 |
| 39.9 | 35.7 |
| 55.1 | 31.3 |


# 5
Diffraction record for PmGe2P2Pt7. The X-ray powder pattern is theoretical, not measured: it uses a structure optimized by DFT (PBE) and CuKα.
Kinematic intensities with the Lorentz-polarization factor, no thermal factor.

```
data_PmGe2P2Pt7
_chemical_formula_sum 'Pm2 Ge4 P4 Pt14'
_cell_length_a 5.584
_cell_length_b 5.524
_cell_length_c 15.209
_cell_angle_alpha 90.00
_cell_angle_beta 100.29
_cell_angle_gamma 90.00
_symmetry_space_group_name_H-M 'C 1 2/m 1'
_symmetry_Int_Tables_number 12
_symmetry_space_group_name_Hall '-C 2y'
loop_
_atom_site_label
_atom_site_type_symbol
_atom_site_fract_x
_atom_site_fract_y
_atom_site_fract_z
_atom_site_occupancy
Pm1 Pm 0.000 0.000 0.000 1
Ge1 Ge 0.245 0.000 0.432 1
P1 P 0.118 0.500 0.243 1
Pt1 Pt 0.000 0.500 0.000 1
Pt2 Pt 0.175 0.250 0.845 1
Pt3 Pt 0.180 0.500 0.397 1
```

Largest 6 diffraction maxima, low angle first, 15° ≤ 2θ ≤ 90°:
| 2θ (°) | I/Imax |
| --- | --- |
| 29.9 | 50.3 |
| 34.6 | 46.0 |
| 36.8 | 47.9 |
| 37.0 | 43.7 |
| 37.2 | 89.6 |
| 46.2 | 100.0 |


# 6
Diffraction record for SrPmPt. The X-ray powder pattern is theoretical, not measured: it uses a structure optimized by DFT (PBE) and CuKα.
Kinematic intensities with the Lorentz-polarization factor, no thermal factor.

```
data_SrPmPt
_chemical_formula_sum 'Sr4 Pm4 Pt4'
_cell_length_a 7.192
_cell_length_b 7.192
_cell_length_c 7.192
_cell_angle_alpha 90.00
_cell_angle_beta 90.00
_cell_angle_gamma 90.00
_symmetry_space_group_name_H-M 'F -4 3 m'
_symmetry_Int_Tables_number 216
_symmetry_space_group_name_Hall 'F -4 2 3'
loop_
_atom_site_label
_atom_site_type_symbol
_atom_site_fract_x
_atom_site_fract_y
_atom_site_fract_z
_atom_site_occupancy
Sr1 Sr 0.000 0.000 0.000 1
Pm1 Pm 0.000 0.000 0.500 1
Pt1 Pt 0.250 0.250 0.250 1
```

Largest 6 diffraction maxima, low angle first, 15° ≤ 2θ ≤ 90°:
| 2θ (°) | I/Imax |
| --- | --- |
| 21.4 | 51.5 |
| 35.3 | 100.0 |
| 41.7 | 28.0 |
| 50.8 | 17.9 |
| 63.4 | 36.8 |
| 85.4 | 16.5 |


# 7
Diffraction record for Cs3Ca2I3Cl4. The X-ray powder pattern is theoretical, not measured: it uses a structure optimized by DFT (PBE) and CuKα.
Kinematic intensities with the Lorentz-polarization factor, no thermal factor.

```
data_Cs3Ca2I3Cl4
_chemical_formula_sum 'Cs6 Ca4 I6 Cl8'
_cell_length_a 6.207
_cell_length_b 30.095
_cell_length_c 5.452
_cell_angle_alpha 90.00
_cell_angle_beta 90.00
_cell_angle_gamma 90.00
_symmetry_space_group_name_H-M 'I m m 2'
_symmetry_Int_Tables_number 44
_symmetry_space_group_name_Hall 'I 2 -2'
loop_
_atom_site_label
_atom_site_type_symbol
_atom_site_fract_x
_atom_site_fract_y
_atom_site_fract_z
_atom_site_occupancy
Cs1 Cs 0.000 0.000 0.000 1
Cs2 Cs 0.000 0.189 0.999 1
Ca1 Ca 0.000 0.392 0.000 1
I1 I 0.000 0.098 0.500 1
I2 I 0.000 0.500 0.001 1
Cl1 Cl 0.000 0.303 0.001 1
Cl2 Cl 0.000 0.391 0.500 1
```

Largest 6 diffraction maxima, low angle first, 15° ≤ 2θ ≤ 90°:
| 2θ (°) | I/Imax |
| --- | --- |
| 22.0 | 39.4 |
| 24.7 | 68.9 |
| 28.1 | 100.0 |
| 28.8 | 53.4 |
| 29.7 | 41.0 |
| 32.9 | 37.2 |


# 8
Diffraction record for ZrZn4Se. The X-ray powder pattern is theoretical, not measured: it uses a structure optimized by DFT (PBE) and CuKα.
Kinematic intensities with the Lorentz-polarization factor, no thermal factor.

```
data_ZrZn4Se
_chemical_formula_sum 'Zr4 Zn16 Se4'
_cell_length_a 7.449
_cell_length_b 7.449
_cell_length_c 7.449
_cell_angle_alpha 90.00
_cell_angle_beta 90.00
_cell_angle_gamma 90.00
_symmetry_space_group_name_H-M 'F -4 3 m'
_symmetry_Int_Tables_number 216
_symmetry_space_group_name_Hall 'F -4 2 3'
loop_
_atom_site_label
_atom_site_type_symbol
_atom_site_fract_x
_atom_site_fract_y
_atom_site_fract_z
_atom_site_occupancy
Zr1 Zr 0.000 0.000 0.000 1
Zn1 Zn 0.126 0.126 0.626 1
Se1 Se 0.250 0.250 0.250 1
```

Largest 6 diffraction maxima, low angle first, 15° ≤ 2θ ≤ 90°:
| 2θ (°) | I/Imax |
| --- | --- |
| 34.0 | 33.6 |
| 40.1 | 100.0 |
| 42.0 | 34.1 |
| 60.9 | 12.0 |
| 65.1 | 30.2 |
| 71.7 | 25.0 |


# 9
Diffraction record for CuBiF. The X-ray powder pattern is theoretical, not measured: it uses a structure optimized by DFT (PBE) and CuKα.
Kinematic intensities with the Lorentz-polarization factor, no thermal factor.

```
data_CuBiF
_chemical_formula_sum 'Cu2 Bi2 F2'
_cell_length_a 4.189
_cell_length_b 5.121
_cell_length_c 5.694
_cell_angle_alpha 63.92
_cell_angle_beta 83.50
_cell_angle_gamma 77.48
_symmetry_space_group_name_H-M 'P -1'
_symmetry_Int_Tables_number 2
_symmetry_space_group_name_Hall '-P 1'
loop_
_atom_site_label
_atom_site_type_symbol
_atom_site_fract_x
_atom_site_fract_y
_atom_site_fract_z
_atom_site_occupancy
Cu1 Cu 0.019 0.431 0.313 1
Bi1 Bi 0.455 0.858 0.316 1
F1 F 0.155 0.717 0.937 1
```

Largest 6 diffraction maxima, low angle first, 15° ≤ 2θ ≤ 90°:
| 2θ (°) | I/Imax |
| --- | --- |
| 17.3 | 58.2 |
| 21.7 | 56.9 |
| 32.2 | 100.0 |
| 35.9 | 59.3 |
| 36.3 | 77.0 |
| 36.6 | 84.7 |


# 10
Diffraction record for NpCu2NiS4. The X-ray powder pattern is theoretical, not measured: it uses a structure optimized by DFT (PBE) and CuKα.
Kinematic intensities with the Lorentz-polarization factor, no thermal factor.

```
data_NpCu2NiS4
_chemical_formula_sum 'Np4 Cu8 Ni4 S16'
_cell_length_a 7.562
_cell_length_b 9.237
_cell_length_c 8.131
_cell_angle_alpha 90.00
_cell_angle_beta 90.00
_cell_angle_gamma 90.00
_symmetry_space_group_name_H-M 'F m m 2'
_symmetry_Int_Tables_number 42
_symmetry_space_group_name_Hall 'F 2 -2'
loop_
_atom_site_label
_atom_site_type_symbol
_atom_site_fract_x
_atom_site_fract_y
_atom_site_fract_z
_atom_site_occupancy
Np1 Np 0.000 0.000 0.000 1
Cu1 Cu 0.250 0.250 0.158 1
Ni1 Ni 0.000 0.000 0.411 1
S1 S 0.000 0.225 0.502 1
S2 S 0.242 0.000 0.253 1
```

Largest 6 diffraction maxima, low angle first, 15° ≤ 2θ ≤ 90°:
| 2θ (°) | I/Imax |
| --- | --- |
| 18.7 | 88.9 |
| 29.3 | 38.5 |
| 30.6 | 45.6 |
| 32.3 | 100.0 |
| 39.0 | 39.2 |
| 51.5 | 49.2 |


# 11
Diffraction record for Pa4Bi3Te2. The X-ray powder pattern is theoretical, not measured: it uses a structure optimized by DFT (PBE) and CuKα.
Kinematic intensities with the Lorentz-polarization factor, no thermal factor.

```
data_Pa4Bi3Te2
_chemical_formula_sum 'Pa8 Bi6 Te4'
_cell_length_a 10.907
_cell_length_b 4.663
_cell_length_c 10.302
_cell_angle_alpha 90.00
_cell_angle_beta 93.46
_cell_angle_gamma 90.00
_symmetry_space_group_name_H-M 'C 1 2/m 1'
_symmetry_Int_Tables_number 12
_symmetry_space_group_name_Hall '-C 2y'
loop_
_atom_site_label
_atom_site_type_symbol
_atom_site_fract_x
_atom_site_fract_y
_atom_site_fract_z
_atom_site_occupancy
Pa1 Pa 0.057 0.000 0.342 1
Pa2 Pa 0.154 0.500 0.880 1
Bi1 Bi 0.000 0.000 0.000 1
Bi2 Bi 0.142 0.500 0.568 1
Te1 Te 0.179 0.500 0.196 1
```

Largest 6 diffraction maxima, low angle first, 15° ≤ 2θ ≤ 90°:
| 2θ (°) | I/Imax |
| --- | --- |
| 31.2 | 87.6 |
| 31.7 | 47.8 |
| 33.1 | 100.0 |
| 38.6 | 36.4 |
| 50.8 | 26.2 |
| 65.3 | 18.1 |


# 12
Diffraction record for ScPaTe4. The X-ray powder pattern is theoretical, not measured: it uses a structure optimized by DFT (PBE) and CuKα.
Kinematic intensities with the Lorentz-polarization factor, no thermal factor.

```
data_ScPaTe4
_chemical_formula_sum 'Sc2 Pa2 Te8'
_cell_length_a 15.861
_cell_length_b 4.281
_cell_length_c 7.213
_cell_angle_alpha 90.00
_cell_angle_beta 116.75
_cell_angle_gamma 90.00
_symmetry_space_group_name_H-M 'C 1 2/m 1'
_symmetry_Int_Tables_number 12
_symmetry_space_group_name_Hall '-C 2y'
loop_
_atom_site_label
_atom_site_type_symbol
_atom_site_fract_x
_atom_site_fract_y
_atom_site_fract_z
_atom_site_occupancy
Sc1 Sc 0.000 0.000 0.000 1
Pa1 Pa 0.000 0.500 0.500 1
Te1 Te 0.119 0.500 0.957 1
Te2 Te 0.124 0.000 0.453 1
```

Largest 6 diffraction maxima, low angle first, 15° ≤ 2θ ≤ 90°:
| 2θ (°) | I/Imax |
| --- | --- |
| 27.3 | 100.0 |
| 27.7 | 45.5 |
| 35.2 | 54.8 |
| 42.2 | 19.7 |
| 43.2 | 33.7 |
| 45.6 | 25.9 |


# 13
Diffraction record for Li2ErZn2Au2. The X-ray powder pattern is theoretical, not measured: it uses a structure optimized by DFT (PBE) and CuKα.
Kinematic intensities with the Lorentz-polarization factor, no thermal factor.

```
data_Li2ErZn2Au2
_chemical_formula_sum 'Li4 Er2 Zn4 Au4'
_cell_length_a 7.830
_cell_length_b 4.502
_cell_length_c 7.702
_cell_angle_alpha 90.00
_cell_angle_beta 109.85
_cell_angle_gamma 90.00
_symmetry_space_group_name_H-M 'C 1 2/m 1'
_symmetry_Int_Tables_number 12
_symmetry_space_group_name_Hall '-C 2y'
loop_
_atom_site_label
_atom_site_type_symbol
_atom_site_fract_x
_atom_site_fract_y
_atom_site_fract_z
_atom_site_occupancy
Li1 Li 0.142 0.000 0.425 1
Er1 Er 0.000 0.000 0.000 1
Zn1 Zn 0.077 0.500 0.734 1
Au1 Au 0.239 0.500 0.217 1
```

Largest 6 diffraction maxima, low angle first, 15° ≤ 2θ ≤ 90°:
| 2θ (°) | I/Imax |
| --- | --- |
| 24.6 | 22.1 |
| 28.1 | 100.0 |
| 37.0 | 52.0 |
| 39.9 | 58.4 |
| 40.1 | 28.9 |
| 40.4 | 27.8 |